Ac2La6Nd3: computed powder diffraction line list (Cu Kα X-rays), based on a structure optimized by DFT (PBE).
Lines closer than 0.1° are merged.

Atomic structure:
a = 6.5503 Å, b = 8.3930 Å, c = 8.4274 Å
α = 107.51°, β = 104.90°, γ = 97.14°
Sites, in units of the cell vectors:
Ac 0.2263 0.0481 0.4051
Ac 0.7737 0.9519 0.5949
La 0.0433 0.4151 0.6829
La 0.1379 0.2332 0.0447
La 0.3189 0.8614 0.7793
La 0.6811 0.1386 0.2207
La 0.8621 0.7668 0.9553
La 0.9567 0.5849 0.3171
Nd 0.4121 0.6785 0.1345
Nd 0.5000 0.5000 0.5000
Nd 0.5879 0.3215 0.8655

Largest 10 diffraction maxima, low angle first, 2θ = 15–90°:
(hkl)	d (Å)	intensity
1 -1 2	3.080	100
0 2 1	3.071	33
2 1 0	2.678	23
1 0 -3	2.664	23
1 -3 1	2.654	22
1 1 3	1.888	16
1 4 -1	1.883	16
3 0 2	1.614	15
-3 1 4	1.607	15
-1 2 4	1.604	15

Ac3La4Nd4: computed powder diffraction line list (Cu Kα X-rays), based on a structure optimized by DFT (PBE).
Lines closer than 0.1° are merged.

Atomic structure:
a = 3.7525 Å, b = 5.9637 Å, c = 19.2202 Å
α = 81.08°, β = 84.43°, γ = 90.00°
Sites, in units of the cell vectors:
Ac 0.0000 0.0000 0.0000
Ac 0.1367 0.6377 0.7248
Ac 0.8633 0.3623 0.2752
La 0.3193 0.8184 0.3629
La 0.4538 0.4545 0.0927
La 0.5462 0.5455 0.9073
La 0.6807 0.1816 0.6371
Nd 0.2648 0.2653 0.4697
Nd 0.4087 0.9090 0.1833
Nd 0.5913 0.0910 0.8167
Nd 0.7352 0.7347 0.5303

Largest 10 diffraction maxima, low angle first, 2θ = 15–90°:
(hkl)	d (Å)	intensity
1 0 4	3.081	32
1 1 -1	3.011	69
0 2 1	2.979	100
1 2 5	2.143	24
1 0 -7	2.092	13
1 1 10	1.751	11
1 3 0	1.727	14
0 3 7	1.721	14
1 2 -6	1.712	14
2 2 2	1.588	31